1.
For CsZnAgC4S4N4, a DFT-relaxed cell (GGA-PBE, the Materials Project) gives the theoretical X-ray diffraction stick pattern in this record (Cu Kα, 1.54184 Å).
Peak positions follow from Bragg's law for the DFT cell and can differ from measured ones.

```
60
Lattice="9.1497 0.0000 0.0000 0.0000 16.8768 0.0000 -7.8254 0.0000 9.1183" Properties=species:S:1:pos:R:3 pbc="T T T"
Cs -0.5155 2.1031 3.2365
Cs -4.4282 6.3353 7.7956
Cs 5.7525 10.5415 1.3227
Cs 1.8398 14.7738 5.8819
Zn -4.3696 0.8858 7.1789
Zn -0.4569 7.5526 2.6198
Zn 1.7812 9.3242 6.4986
Zn 5.6939 15.9911 1.9394
Ag -2.9904 12.4817 6.0097
Ag 0.9224 12.8335 1.4505
Ag 0.4019 4.0433 7.6678
Ag 4.3147 4.3951 3.1086
C -5.9287 3.0408 8.8457
C -2.0160 5.3976 4.2865
C 1.7065 9.9594 0.1856
C -2.2062 15.3558 4.7448
C -0.7603 10.5375 3.4938
C -4.6730 14.7778 8.0529
C -1.3061 9.8252 6.7770
C 2.6066 15.4900 2.2178
C -1.2823 1.3868 6.9005
C 2.6304 7.0516 2.3414
C 5.9973 2.0991 1.0654
C 2.0846 6.3393 5.6246
C 3.5305 1.5210 4.3736
C -0.3822 6.9174 8.9327
C 3.3403 11.4792 4.8318
C 7.2530 13.8360 0.2726
S 0.9782 4.1809 0.4479
S -2.9345 4.2575 5.0071
S -0.8054 12.1332 3.7604
S -4.7181 13.1820 8.3196
S -2.9255 10.0251 6.8607
S 0.9872 15.2901 2.3015
S 2.1935 10.5903 1.6049
S -1.7192 14.7250 6.1641
S 3.0435 2.1518 2.9543
S -0.8692 6.2866 7.5134
S 0.3371 1.5867 6.8168
S 4.2498 6.8517 2.2577
S 6.0424 3.6948 0.7988
S 2.1297 4.7436 5.3579
S 4.2588 12.6193 4.1112
S 0.3461 12.6959 8.6704
N -6.4671 9.4771 8.2786
N -2.5544 15.8382 3.7194
N -5.2417 2.2343 8.3229
N -1.3290 6.2041 3.7637
N -0.7858 9.3711 3.2750
N -4.6985 15.9442 7.8341
N -2.4527 1.2455 6.9418
N 1.4600 7.1929 2.3827
N -0.1357 9.6839 6.7357
N 3.7770 15.6313 2.1765
N 6.0228 0.9327 1.2842
N 2.1101 7.5057 5.8434
N 2.6533 10.6727 5.3546
N 6.5660 14.6425 0.7954
N 3.8787 1.0387 5.3989
N 7.7914 7.3998 0.8397
```

Peak list (10 most intense, 5° ≤ 2θ ≤ 70°, in order of rising 2θ)
two_theta, I (rel.)
18.1, 40
18.6, 29
20.2, 48
20.3, 100
25.4, 41
25.7, 73
25.8, 31
31.5, 26
39.9, 28
42.2, 28

=====

2.
For KCuAg2C4N4, a DFT-relaxed cell (GGA-PBE, the Materials Project) gives the theoretical X-ray diffraction stick pattern in this record (Cu Kα, 1.54184 Å).
Peak positions follow from Bragg's law for the DFT cell and can differ from measured ones.

```
24
Lattice="7.9298 0.0000 0.0000 0.0000 7.5741 0.0000 -1.6199 0.0000 7.4769" Properties=species:S:1:pos:R:3 pbc="T T T"
K -0.4050 1.8774 1.8692
K -1.2150 5.6967 5.6077
Cu -1.2150 1.9362 5.6077
Cu -0.4050 5.6379 1.8692
Ag 3.9649 0.0000 0.0000
Ag 3.1549 0.0000 3.7385
Ag 3.5599 3.2759 1.8692
Ag 2.7500 4.2982 5.6077
C 1.2889 0.5669 4.3700
C 2.0989 7.0071 0.6315
C 2.1710 3.1600 0.3671
C 1.3610 4.4140 4.1056
C 4.9489 3.1600 3.3713
C 4.1389 4.4140 7.1098
C 4.2110 0.5669 6.8454
C 5.0210 7.0071 3.1069
N 0.2361 0.9292 4.7482
N 1.0461 6.6449 1.0097
N -0.2393 2.9533 6.9972
N 0.5706 4.6207 3.2587
N 5.7393 2.9533 4.2183
N 6.5492 4.6207 0.4798
N 5.2638 0.9292 6.4672
N 6.0738 6.6449 2.7287
```

Peak list (10 most intense, 5° ≤ 2θ ≤ 70°, in order of rising 2θ)
two_theta, I (rel.)
11.4, 29
18.8, 21
23.0, 54
26.2, 100
26.6, 40
26.9, 35
27.8, 25
31.0, 48
31.8, 45
42.4, 25

=====

3.
For DyAgH2C2SO9, a DFT-relaxed cell (GGA-PBE, the Materials Project) gives the theoretical X-ray diffraction stick pattern in this record (Cu Kα, 1.54184 Å).
Peak positions follow from Bragg's law for the DFT cell and can differ from measured ones.

```
32
Lattice="6.9112 -3.4786 0.0000 6.9112 3.4786 0.0000 -4.1386 0.0000 8.0897" Properties=species:S:1:pos:R:3 pbc="T T T"
Dy 2.2458 0.0000 2.1699
Dy 7.4380 0.0000 5.9198
Ag -1.5692 0.0000 5.4093
Ag 11.2529 0.0000 2.6804
H 0.0715 0.0000 7.9976
H 5.1274 0.0000 1.1841
H 4.5564 0.0000 6.9056
H 9.6122 0.0000 0.0921
C -3.6166 0.0000 7.5271
C 4.8419 0.7591 4.0448
C 4.8419 -0.7591 4.0448
C 13.3004 0.0000 0.5626
S 1.6503 0.0000 5.7926
S 8.0335 0.0000 2.2971
O -0.1058 0.0000 1.7584
O -2.3945 0.0000 7.8732
O 0.9741 1.2017 6.3913
O 3.9236 1.3302 3.3804
O 1.3959 0.0000 4.3137
O 4.1846 0.0000 0.8817
O 5.7602 1.3302 4.7093
O 3.0791 0.0000 6.0870
O 0.9741 -1.2017 6.3913
O 8.7097 1.2017 1.6984
O 6.6047 0.0000 2.0027
O 3.9236 -1.3302 3.3804
O 5.4992 0.0000 7.2080
O 8.2879 0.0000 3.7760
O 5.7602 -1.3302 4.7093
O 8.7097 -1.2017 1.6984
O 12.0783 0.0000 0.2165
O 9.7896 0.0000 6.3313
```

Peak list (10 most intense, 5° ≤ 2θ ≤ 70°, in order of rising 2θ)
two_theta, I (rel.)
10.9, 36
14.4, 33
20.0, 76
22.0, 59
23.2, 88
25.6, 100
31.4, 60
34.0, 37
38.8, 42
39.5, 33

=====

4.
For AgSbH2C2N2F6, a DFT-relaxed cell (GGA-PBE, the Materials Project) gives the theoretical X-ray diffraction stick pattern in this record (Cu Kα, 1.54184 Å).
Peak positions follow from Bragg's law for the DFT cell and can differ from measured ones.

```
28
Lattice="5.3202 0.0000 0.0000 0.0000 12.5269 0.0000 0.0000 0.0000 7.0107" Properties=species:S:1:pos:R:3 pbc="T T T"
Ag 0.0000 0.0000 0.0000
Ag 2.6601 6.2635 3.5053
Sb 0.0000 6.2635 0.0000
Sb 2.6601 0.0000 3.5053
H 0.1185 2.7649 3.5053
H 2.5416 9.0284 0.0000
H 2.7786 3.4985 0.0000
H 5.2017 9.7620 3.5053
C 0.7754 3.6255 3.5053
C 1.8847 9.8890 0.0000
C 3.4354 2.6379 0.0000
C 4.5448 8.9014 3.5053
N 1.1386 10.7714 0.0000
N 1.5214 4.5079 3.5053
N 3.7987 8.0190 3.5053
N 4.1815 1.7555 0.0000
F 1.0668 7.1308 1.3492
F 1.0668 7.1308 5.6615
F 1.1918 4.7464 0.0000
F 1.4683 11.0099 3.5053
F 1.5933 0.8673 2.1562
F 1.5933 0.8673 4.8545
F 3.7269 11.6596 2.1562
F 3.7269 11.6596 4.8545
F 3.8519 1.5171 3.5053
F 4.1283 7.7805 0.0000
F 4.2533 5.3961 1.3492
F 4.2533 5.3961 5.6615
```

Peak list (10 most intense, 5° ≤ 2θ ≤ 70°, in order of rising 2θ)
two_theta, I (rel.)
14.1, 78
21.0, 54
25.4, 100
29.2, 12
35.6, 22
36.7, 9
44.7, 25
45.2, 18
48.6, 11
52.1, 13